Starting from a PBE-relaxed structure, the powder XRD pattern of Cu6Ag6Sb4Te12S was computed for Cu Kα.
Lines closer than 0.1° are merged.

Structure:
a b c (Å): 10.3134 10.3134 10.3134
angles (deg): 109.47 109.47 109.47
Sites, in units of the cell vectors:
Cu 0.0000 0.1912 0.1912
Cu 0.0000 0.8088 0.8088
Cu 0.1912 0.0000 0.1912
Cu 0.1912 0.1912 0.0000
Cu 0.8088 0.0000 0.8088
Cu 0.8088 0.8088 0.0000
Ag 0.2500 0.5000 0.7500
Ag 0.2500 0.7500 0.5000
Ag 0.5000 0.2500 0.7500
Ag 0.5000 0.7500 0.2500
Ag 0.7500 0.2500 0.5000
Ag 0.7500 0.5000 0.2500
Sb 0.0000 0.0000 0.5286
Sb 0.0000 0.5286 0.0000
Sb 0.4714 0.4714 0.4714
Sb 0.5286 0.0000 0.0000
Te 0.0000 0.2389 0.4536
Te 0.0000 0.4536 0.2389
Te 0.2147 0.7611 0.7611
Te 0.2389 0.0000 0.4536
Te 0.2389 0.4536 0.0000
Te 0.4536 0.0000 0.2389
Te 0.4536 0.2389 0.0000
Te 0.5464 0.5464 0.7853
Te 0.5464 0.7853 0.5464
Te 0.7611 0.2147 0.7611
Te 0.7611 0.7611 0.2147
Te 0.7853 0.5464 0.5464
S 0.0000 0.0000 0.0000

Main lines, in order of rising 2θ (2θ = 10–90°):
| d_spacing | Position (°2θ) | I (rel.) |
| --- | --- | --- |
| 3.438 | 25.9 | 100 |
| 3.183 | 28.0 | 17 |
| 2.807 | 31.9 | 21 |
| 2.336 | 38.5 | 21 |
| 2.174 | 41.5 | 18 |
| 2.105 | 43.0 | 56 |
| 1.932 | 47.0 | 22 |
| 1.795 | 50.9 | 25 |
| 1.423 | 65.6 | 11 |
| 1.384 | 67.7 | 12 |